# 1
This entry pairs a crystal structure of Li2TbTmGe2 with its calculated powder XRD pattern. Radiation: Cu Kα. Structure: a cell relaxed with GGA-PBE.
Lines closer than 0.1° are merged.

Cell and atoms:
```
Li2TbTmGe2
1.0
4.3946 0.0000 0.0000
-2.1973 3.8058 0.0000
0.0000 0.0000 7.1225
Li Tb Tm Ge
2 1 1 2
direct
0.3333 0.6667 0.2347 Li
0.6667 0.3333 0.7653 Li
0.0000 0.0000 0.5000 Tb
0.0000 0.0000 0.0000 Tm
0.3333 0.6667 0.7556 Ge
0.6667 0.3333 0.2444 Ge
```

The 8 most intense peaks (15 to 90 degrees two-theta), in order of falling intensity:
34.49 deg, intensity 100
23.37 deg, intensity 49
41.08 deg, intensity 44
54.69 deg, intensity 27
70.62 deg, intensity 26
67.73 deg, intensity 20
26.56 deg, intensity 18
57.11 deg, intensity 9

# 2
This entry pairs a crystal structure of LiTcGe3 with its calculated powder XRD pattern. Radiation: Cu Kα. Structure: a cell relaxed with GGA-PBE.
Lines closer than 0.1° are merged.

Cell and atoms:
```
LiTcGe3
1.0
3.3688 -5.1216 0.0000
3.3688 5.1216 0.0000
0.0000 0.0000 5.3451
Li Tc Ge
2 2 6
direct
0.2336 0.7664 0.7500 Li
0.7664 0.2336 0.2500 Li
0.5000 0.5000 0.0000 Tc
0.5000 0.5000 0.5000 Tc
0.1208 0.2669 0.7500 Ge
0.2669 0.1208 0.2500 Ge
0.2872 0.7128 0.2500 Ge
0.7128 0.2872 0.7500 Ge
0.7331 0.8792 0.7500 Ge
0.8792 0.7331 0.2500 Ge
```

The 8 most intense peaks (15 to 90 degrees two-theta), in order of falling intensity:
46.88 deg, intensity 100
22.94 deg, intensity 97
17.31 deg, intensity 83
15.74 deg, intensity 73
41.15 deg, intensity 69
39.00 deg, intensity 63
36.07 deg, intensity 58
37.24 deg, intensity 56

# 3
This entry pairs a crystal structure of Li2GeTe2 with its calculated powder XRD pattern. Radiation: Cu Kα. Structure: a cell relaxed with GGA-PBE.
Lines closer than 0.1° are merged.

Cell and atoms:
```
Li2GeTe2
1.0
10.3723 0.0000 0.0000
0.0000 7.3666 0.0000
-0.4924 0.0000 6.9937
Li Ge Te
8 4 8
direct
0.0211 0.2372 0.0069 Li
0.0211 0.2628 0.5069 Li
0.2746 0.7269 0.9990 Li
0.2746 0.7731 0.4990 Li
0.7254 0.2269 0.5010 Li
0.7254 0.2731 0.0010 Li
0.9789 0.7372 0.4931 Li
0.9789 0.7628 0.9931 Li
0.3634 0.1883 0.9460 Ge
0.3634 0.3117 0.4460 Ge
0.6366 0.6883 0.5540 Ge
0.6366 0.8117 0.0540 Ge
0.1367 0.5110 0.2560 Te
0.1367 0.9890 0.7560 Te
0.4322 0.5625 0.7421 Te
0.4322 0.9375 0.2421 Te
0.5678 0.0625 0.7579 Te
0.5678 0.4375 0.2579 Te
0.8633 0.0110 0.2440 Te
0.8633 0.4890 0.7440 Te
```

The 8 most intense peaks (15 to 90 degrees two-theta), in order of falling intensity:
23.94 deg, intensity 100
25.21 deg, intensity 88
35.39 deg, intensity 62
43.19 deg, intensity 49
25.47 deg, intensity 34
45.49 deg, intensity 33
29.00 deg, intensity 32
35.66 deg, intensity 29

# 4
This entry pairs a crystal structure of Li8GeTe6 with its calculated powder XRD pattern. Radiation: Cu Kα. Structure: a cell relaxed with GGA-PBE.
Lines closer than 0.1° are merged.

Cell and atoms:
```
Li8GeTe6
1.0
8.0440 0.0000 0.0000
0.0000 8.3222 0.0000
0.0000 0.0000 11.8248
Li Ge Te
16 2 12
direct
0.0000 0.1146 0.0000 Li
0.0000 0.2467 0.4412 Li
0.2093 0.5809 0.7885 Li
0.2157 0.7295 0.1117 Li
0.2233 0.9389 0.7800 Li
0.2767 0.0611 0.2800 Li
0.2843 0.2705 0.6117 Li
0.2907 0.4191 0.2885 Li
0.5000 0.7533 0.9412 Li
0.5000 0.8854 0.5000 Li
0.7093 0.4191 0.2885 Li
0.7157 0.2705 0.6117 Li
0.7233 0.0611 0.2800 Li
0.7767 0.9389 0.7800 Li
0.7843 0.7295 0.1117 Li
0.7907 0.5809 0.7885 Li
0.0000 0.7502 0.4694 Ge
0.5000 0.2498 0.9694 Ge
0.0000 0.0082 0.5984 Te
0.0000 0.2512 0.2185 Te
0.0000 0.4927 0.6005 Te
0.0000 0.7756 0.9336 Te
0.2325 0.2584 0.8481 Te
0.2675 0.7416 0.3481 Te
0.5000 0.2244 0.4336 Te
0.5000 0.5073 0.1005 Te
0.5000 0.7488 0.7185 Te
0.5000 0.9918 0.0984 Te
0.7325 0.7416 0.3481 Te
0.7675 0.2584 0.8481 Te
```

The 8 most intense peaks (15 to 90 degrees two-theta), in order of falling intensity:
25.21 deg, intensity 100
25.73 deg, intensity 67
21.49 deg, intensity 65
43.79 deg, intensity 65
26.19 deg, intensity 63
26.81 deg, intensity 41
40.73 deg, intensity 28
40.22 deg, intensity 23

# 5
This entry pairs a crystal structure of Li2GeTe4 with its calculated powder XRD pattern. Radiation: Cu Kα. Structure: a cell relaxed with GGA-PBE.
Lines closer than 0.1° are merged.

Cell and atoms:
```
Li2GeTe4
1.0
6.2626 0.0000 0.0000
0.0000 6.2626 0.0000
0.0000 0.0000 11.1800
Li Ge Te
4 2 8
direct
0.0000 0.5000 0.2500 Li
0.0000 0.5000 0.7500 Li
0.5000 0.0000 0.2500 Li
0.5000 0.0000 0.7500 Li
0.0000 0.0000 0.0000 Ge
0.5000 0.5000 0.5000 Ge
0.2399 0.2399 0.6136 Te
0.2399 0.7601 0.3864 Te
0.2601 0.2601 0.1136 Te
0.2601 0.7399 0.8864 Te
0.7399 0.2601 0.8864 Te
0.7399 0.7399 0.1136 Te
0.7601 0.2399 0.3864 Te
0.7601 0.7601 0.6136 Te
```

The 8 most intense peaks (15 to 90 degrees two-theta), in order of falling intensity:
25.66 deg, intensity 100
48.79 deg, intensity 34
43.40 deg, intensity 31
28.51 deg, intensity 26
40.75 deg, intensity 19
53.34 deg, intensity 11
76.01 deg, intensity 11
69.23 deg, intensity 10

# 6
This entry pairs a crystal structure of Li3GeTe4 with its calculated powder XRD pattern. Radiation: Cu Kα. Structure: a cell relaxed with GGA-PBE.
Lines closer than 0.1° are merged.

Cell and atoms:
```
Li3GeTe4
1.0
7.8591 0.0000 0.0000
0.0000 8.1748 0.0000
0.0000 0.0000 7.5675
Li Ge Te
6 2 8
direct
0.0000 0.1340 0.0000 Li
0.2370 0.3341 0.5272 Li
0.2630 0.6659 0.0272 Li
0.5000 0.8660 0.5000 Li
0.7370 0.6659 0.0272 Li
0.7630 0.3341 0.5272 Li
0.0000 0.8208 0.5036 Ge
0.5000 0.1792 0.0036 Ge
0.0000 0.1166 0.3652 Te
0.0000 0.8347 0.8505 Te
0.2418 0.3511 0.8920 Te
0.2582 0.6489 0.3920 Te
0.5000 0.1653 0.3505 Te
0.5000 0.8834 0.8652 Te
0.7418 0.6489 0.3920 Te
0.7582 0.3511 0.8920 Te
```

The 8 most intense peaks (15 to 90 degrees two-theta), in order of falling intensity:
24.76 deg, intensity 100
27.81 deg, intensity 96
23.51 deg, intensity 76
25.14 deg, intensity 64
42.09 deg, intensity 45
44.08 deg, intensity 45
40.28 deg, intensity 42
34.69 deg, intensity 41

# 7
This entry pairs a crystal structure of LiGeTe2 with its calculated powder XRD pattern. Radiation: Cu Kα. Structure: a cell relaxed with GGA-PBE.
Lines closer than 0.1° are merged.

Cell and atoms:
```
LiGeTe2
1.0
7.3428 0.0000 0.0000
3.0688 8.7261 0.0000
2.5621 2.1062 10.9904
Li Ge Te
6 6 12
direct
0.0000 0.0000 0.0000 Li
0.0088 0.3468 0.6898 Li
0.4732 0.3202 0.1787 Li
0.5000 0.0000 0.5000 Li
0.5268 0.6798 0.8213 Li
0.9912 0.6532 0.3102 Li
0.0380 0.0398 0.2934 Ge
0.0474 0.7416 0.5971 Ge
0.0664 0.6107 0.9498 Ge
0.9336 0.3893 0.0502 Ge
0.9526 0.2584 0.4029 Ge
0.9620 0.9602 0.7066 Ge
0.2451 0.3333 0.4276 Te
0.2494 0.1497 0.0928 Te
0.2567 0.0124 0.7528 Te
0.2668 0.6673 0.0802 Te
0.2743 0.5203 0.7428 Te
0.3006 0.7992 0.3994 Te
0.6994 0.2008 0.6006 Te
0.7257 0.4797 0.2572 Te
0.7332 0.3327 0.9198 Te
0.7433 0.9876 0.2472 Te
0.7506 0.8503 0.9072 Te
0.7549 0.6667 0.5724 Te
```

The 8 most intense peaks (15 to 90 degrees two-theta), in order of falling intensity:
29.36 deg, intensity 100
23.81 deg, intensity 71
24.58 deg, intensity 54
28.31 deg, intensity 50
25.75 deg, intensity 35
26.04 deg, intensity 30
43.37 deg, intensity 25
48.43 deg, intensity 23

# 8
This entry pairs a crystal structure of Li2Th2Ge3 with its calculated powder XRD pattern. Radiation: Cu Kα. Structure: a cell relaxed with GGA-PBE.
Lines closer than 0.1° are merged.

Cell and atoms:
```
Li2Th2Ge3
1.0
2.2267 -9.3580 0.0000
2.2267 9.3580 0.0000
0.0000 0.0000 6.9502
Li Th Ge
4 4 6
direct
0.1904 0.8096 0.5669 Li
0.1904 0.8096 0.9331 Li
0.8096 0.1904 0.0669 Li
0.8096 0.1904 0.4331 Li
0.3449 0.6551 0.7500 Th
0.4502 0.5498 0.2500 Th
0.5498 0.4502 0.7500 Th
0.6551 0.3449 0.2500 Th
0.0644 0.9356 0.0606 Ge
0.0644 0.9356 0.4394 Ge
0.2793 0.7207 0.2500 Ge
0.7207 0.2793 0.7500 Ge
0.9356 0.0644 0.5606 Ge
0.9356 0.0644 0.9394 Ge
```

The 8 most intense peaks (15 to 90 degrees two-theta), in order of falling intensity:
33.84 deg, intensity 100
33.04 deg, intensity 75
22.91 deg, intensity 29
25.63 deg, intensity 28
20.50 deg, intensity 25
40.51 deg, intensity 24
31.43 deg, intensity 24
48.60 deg, intensity 18

# 9
This entry pairs a crystal structure of Li4TlGe with its calculated powder XRD pattern. Radiation: Cu Kα. Structure: a cell relaxed with GGA-PBE.
Lines closer than 0.1° are merged.

Cell and atoms:
```
Li4TlGe
1.0
7.8105 0.0000 0.0000
0.0000 4.5224 0.0000
-0.0145 0.0000 5.8526
Li Tl Ge
8 2 2
direct
0.1665 0.0000 0.1810 Li
0.1669 0.0000 0.7311 Li
0.3331 0.5000 0.2689 Li
0.3335 0.5000 0.8190 Li
0.6665 0.5000 0.1810 Li
0.6669 0.5000 0.7311 Li
0.8331 0.0000 0.2689 Li
0.8335 0.0000 0.8190 Li
0.0000 0.5000 0.5000 Tl
0.5000 0.0000 0.5000 Tl
0.0000 0.5000 0.0000 Ge
0.5000 0.0000 0.0000 Ge
```

The 8 most intense peaks (15 to 90 degrees two-theta), in order of falling intensity:
22.74 deg, intensity 100
38.41 deg, intensity 51
39.93 deg, intensity 29
27.43 deg, intensity 28
15.14 deg, intensity 17
56.58 deg, intensity 16
30.55 deg, intensity 15
51.05 deg, intensity 15

# 10
This entry pairs a crystal structure of Li8TlGe2 with its calculated powder XRD pattern. Radiation: Cu Kα. Structure: a cell relaxed with GGA-PBE.
Lines closer than 0.1° are merged.

Cell and atoms:
```
Li8TlGe2
1.0
-2.1968 3.5887 6.0469
2.1968 -3.5887 6.0469
2.1968 3.5887 -6.0469
Li Tl Ge
8 1 2
direct
0.1388 0.3406 0.7982 Li
0.1586 0.1586 0.0000 Li
0.3159 0.0000 0.3159 Li
0.4576 0.6594 0.7982 Li
0.5424 0.3406 0.2018 Li
0.6841 0.0000 0.6841 Li
0.8414 0.8414 0.0000 Li
0.8612 0.6594 0.2018 Li
0.0000 0.5000 0.5000 Tl
0.2980 0.7980 0.5000 Ge
0.7020 0.2020 0.5000 Ge
```

The 8 most intense peaks (15 to 90 degrees two-theta), in order of falling intensity:
23.74 deg, intensity 100
25.34 deg, intensity 72
39.38 deg, intensity 59
24.81 deg, intensity 45
30.08 deg, intensity 43
38.25 deg, intensity 37
48.89 deg, intensity 24
21.52 deg, intensity 24

# 11
This entry pairs a crystal structure of Li2TmZn2Ge2 with its calculated powder XRD pattern. Radiation: Cu Kα. Structure: a cell relaxed with GGA-PBE.
Lines closer than 0.1° are merged.

Cell and atoms:
```
Li2TmZn2Ge2
1.0
2.1044 1.2150 7.7277
-2.1044 1.2150 7.7277
0.0000 -2.4300 7.7277
Li Tm Zn Ge
2 1 2 2
direct
0.1434 0.1434 0.1434 Li
0.8566 0.8566 0.8566 Li
0.0000 0.0000 0.0000 Tm
0.4375 0.4375 0.4375 Zn
0.5625 0.5625 0.5625 Zn
0.2602 0.2602 0.2602 Ge
0.7398 0.7398 0.7398 Ge
```

The 8 most intense peaks (15 to 90 degrees two-theta), in order of falling intensity:
28.94 deg, intensity 100
42.98 deg, intensity 82
36.66 deg, intensity 81
31.21 deg, intensity 26
49.99 deg, intensity 23
57.74 deg, intensity 21
25.62 deg, intensity 20
74.61 deg, intensity 20

# 12
This entry pairs a crystal structure of LiYGe with its calculated powder XRD pattern. Radiation: Cu Kα. Structure: a cell relaxed with GGA-PBE.
Lines closer than 0.1° are merged.

Cell and atoms:
```
LiYGe
1.0
7.1513 0.0000 0.0000
0.0000 4.3597 0.0000
0.0000 0.0000 7.7423
Li Y Ge
4 4 4
direct
0.1732 0.2500 0.0748 Li
0.3268 0.7500 0.5748 Li
0.6732 0.2500 0.4252 Li
0.8268 0.7500 0.9252 Li
0.0076 0.2500 0.7125 Y
0.4924 0.7500 0.2125 Y
0.5076 0.2500 0.7875 Y
0.9924 0.7500 0.2875 Y
0.2339 0.7500 0.9057 Ge
0.2661 0.2500 0.4057 Ge
0.7339 0.7500 0.5943 Ge
0.7661 0.2500 0.0943 Ge
```

The 8 most intense peaks (15 to 90 degrees two-theta), in order of falling intensity:
34.45 deg, intensity 100
26.57 deg, intensity 41
40.62 deg, intensity 40
34.14 deg, intensity 36
41.42 deg, intensity 26
26.18 deg, intensity 25
54.72 deg, intensity 18
33.39 deg, intensity 16